Entry 1:
# Li2Ti2MnCr2P6O24
Computed powder diffraction line list, Cu Kα. Input: DFT lattice parameters and positions (PBE+U).
Lines closer than 0.1° are merged.

The 10 most intense peaks (2θ from 10° to 90°), low angle first:
- 12.55 deg, I = 20
- 20.55 deg, I = 81
- 24.13 deg, I = 100
- 24.24 deg, I = 49
- 29.29 deg, I = 16
- 31.90 deg, I = 22
- 32.73 deg, I = 33
- 32.86 deg, I = 21
- 36.00 deg, I = 36
- 56.28 deg, I = 20

Structure:
```
data_Li2Ti2MnCr2P6O24
_cell_length_a 8.601
_cell_length_b 8.636
_cell_length_c 8.639
_cell_angle_alpha 60.08
_cell_angle_beta 60.19
_cell_angle_gamma 60.24
_symmetry_space_group_name_H-M 'P 1'
_symmetry_Int_Tables_number 1
_symmetry_space_group_name_Hall 'P 1'
loop_
_atom_site_label
_atom_site_fract_x
_atom_site_fract_y
_atom_site_fract_z
Li1 0.000 0.000 0.000
Li2 0.242 0.636 0.862
Ti1 0.662 0.506 0.721
Ti2 0.805 0.786 0.008
Mn1 0.734 0.150 0.373
Cr1 0.168 0.005 0.222
Cr2 0.311 0.293 0.503
P1 0.480 0.900 0.822
P2 0.484 0.607 0.407
P3 0.490 0.188 0.114
P4 0.988 0.688 0.323
P5 0.989 0.108 0.612
P6 0.989 0.399 0.901
O1 0.169 0.141 0.559
O2 0.170 0.345 0.743
O3 0.170 0.531 0.352
O4 0.293 0.954 0.978
O5 0.305 0.765 0.372
O6 0.313 0.151 0.167
O7 0.482 0.585 0.596
O8 0.482 0.733 0.799
O9 0.485 0.379 0.948
O10 0.502 0.063 0.629
O11 0.504 0.413 0.418
O12 0.505 0.204 0.278
O13 0.655 0.845 0.873
O14 0.664 0.652 0.242
O15 0.676 0.027 0.057
O16 0.809 0.273 0.667
O17 0.809 0.648 0.485
O18 0.810 0.456 0.859
O19 0.972 0.227 0.091
O20 0.972 0.888 0.298
O21 0.973 0.088 0.452
O22 0.991 0.561 0.930
O23 0.991 0.923 0.787
O24 0.992 0.720 0.127
```


Entry 2:
# Ca8Al3Fe5O20
Computed powder diffraction line list, Cu Kα. Input: DFT lattice parameters and positions (PBE+U).
Lines closer than 0.1° are merged.

The 10 most intense peaks (2θ from 10° to 90°), low angle first:
- 24.07 deg, I = 10
- 26.09 deg, I = 12
- 32.57 deg, I = 27
- 33.44 deg, I = 100
- 43.23 deg, I = 8
- 47.38 deg, I = 31
- 48.63 deg, I = 15
- 58.67 deg, I = 11
- 59.76 deg, I = 17
- 70.23 deg, I = 12

Structure:
```
data_Ca8Al3Fe5O20
_cell_length_a 5.499
_cell_length_b 8.411
_cell_length_c 10.718
_cell_angle_alpha 108.57
_cell_angle_beta 90.01
_cell_angle_gamma 108.98
_symmetry_space_group_name_H-M 'P 1'
_symmetry_Int_Tables_number 1
_symmetry_space_group_name_Hall 'P 1'
loop_
_atom_site_label
_atom_site_fract_x
_atom_site_fract_y
_atom_site_fract_z
Ca1 0.000 0.000 0.000
Ca2 0.000 0.001 0.504
Ca3 0.289 0.577 0.647
Ca4 0.290 0.578 0.146
Ca5 0.542 0.001 0.253
Ca6 0.544 0.000 0.752
Ca7 0.832 0.577 0.894
Ca8 0.834 0.578 0.398
Al1 0.416 0.789 0.458
Al2 0.416 0.789 0.951
Al3 0.916 0.789 0.704
Fe1 0.229 0.289 0.804
Fe2 0.232 0.293 0.306
Fe3 0.601 0.285 0.053
Fe4 0.603 0.288 0.555
Fe5 0.916 0.789 0.205
O1 0.174 0.812 0.586
O2 0.180 0.811 0.833
O3 0.183 0.814 0.081
O4 0.191 0.816 0.340
O5 0.220 0.517 0.894
O6 0.224 0.521 0.401
O7 0.276 0.289 0.624
O8 0.277 0.288 0.123
O9 0.555 0.289 0.374
O10 0.556 0.289 0.873
O11 0.609 0.056 0.028
O12 0.611 0.061 0.536
O13 0.642 0.763 0.327
O14 0.649 0.762 0.068
O15 0.652 0.766 0.822
O16 0.659 0.767 0.575
O17 0.838 0.518 0.646
O18 0.845 0.507 0.149
O19 0.987 0.071 0.289
O20 0.994 0.059 0.782
```


Entry 3:
# NaSrDyWO6
Computed powder diffraction line list, Cu Kα. Input: DFT lattice parameters and positions (PBE+U).
Lines closer than 0.1° are merged.

The 10 most intense peaks (2θ from 10° to 90°), low angle first:
- 18.44 deg, I = 6
- 21.32 deg, I = 47
- 30.33 deg, I = 100
- 43.43 deg, I = 31
- 48.87 deg, I = 20
- 53.89 deg, I = 41
- 63.10 deg, I = 19
- 67.41 deg, I = 9
- 71.60 deg, I = 18
- 87.60 deg, I = 22

Structure:
```
data_NaSrDyWO6
_cell_length_a 5.894
_cell_length_b 5.894
_cell_length_c 5.894
_cell_angle_alpha 60.00
_cell_angle_beta 60.00
_cell_angle_gamma 60.00
_symmetry_space_group_name_H-M 'P 1'
_symmetry_Int_Tables_number 1
_symmetry_space_group_name_Hall 'P 1'
loop_
_atom_site_label
_atom_site_fract_x
_atom_site_fract_y
_atom_site_fract_z
Na1 0.000 0.000 0.000
Sr1 0.500 0.500 0.500
Dy1 0.250 0.250 0.250
W1 0.750 0.750 0.750
O1 0.516 0.516 0.984
O2 0.516 0.984 0.516
O3 0.516 0.984 0.984
O4 0.984 0.516 0.516
O5 0.984 0.516 0.984
O6 0.984 0.984 0.516
```


Entry 4:
# TaMnNbO6
Computed powder diffraction line list, Cu Kα. Input: DFT lattice parameters and positions (PBE+U).
Lines closer than 0.1° are merged.

The 10 most intense peaks (2θ from 10° to 90°), low angle first:
- 23.76 deg, I = 39
- 29.50 deg, I = 100
- 34.91 deg, I = 14
- 35.23 deg, I = 16
- 50.28 deg, I = 14
- 51.71 deg, I = 16
- 51.94 deg, I = 21
- 59.30 deg, I = 14
- 61.99 deg, I = 12
- 62.67 deg, I = 14

Structure:
```
data_TaMnNbO6
_cell_length_a 5.140
_cell_length_b 14.613
_cell_length_c 5.867
_cell_angle_alpha 90.00
_cell_angle_beta 90.00
_cell_angle_gamma 90.00
_symmetry_space_group_name_H-M 'P 1'
_symmetry_Int_Tables_number 1
_symmetry_space_group_name_Hall 'P 1'
loop_
_atom_site_label
_atom_site_fract_x
_atom_site_fract_y
_atom_site_fract_z
Ta1 0.014 0.163 0.427
Ta2 0.486 0.663 0.573
Ta3 0.514 0.337 0.573
Ta4 0.986 0.837 0.427
Mn1 0.000 0.000 0.922
Mn2 0.000 0.500 0.428
Mn3 0.500 0.000 0.572
Mn4 0.500 0.500 0.078
Nb1 0.013 0.338 0.930
Nb2 0.487 0.838 0.070
Nb3 0.513 0.162 0.070
Nb4 0.987 0.662 0.930
O1 0.153 0.082 0.633
O2 0.154 0.419 0.133
O3 0.156 0.756 0.123
O4 0.162 0.745 0.618
O5 0.190 0.099 0.152
O6 0.193 0.401 0.650
O7 0.307 0.901 0.350
O8 0.310 0.599 0.848
O9 0.338 0.245 0.382
O10 0.344 0.256 0.877
O11 0.346 0.919 0.867
O12 0.347 0.582 0.367
O13 0.653 0.418 0.367
O14 0.654 0.081 0.867
O15 0.656 0.744 0.877
O16 0.662 0.755 0.382
O17 0.690 0.401 0.848
O18 0.693 0.099 0.350
O19 0.807 0.599 0.650
O20 0.810 0.901 0.152
O21 0.838 0.255 0.618
O22 0.844 0.244 0.123
O23 0.846 0.581 0.133
O24 0.847 0.918 0.633
```


Entry 5:
# Li2Si2Ni3O8
Computed powder diffraction line list, Cu Kα. Input: DFT lattice parameters and positions (PBE+U).
Lines closer than 0.1° are merged.

The 10 most intense peaks (2θ from 10° to 90°), low angle first:
- 20.77 deg, I = 39
- 21.68 deg, I = 65
- 21.76 deg, I = 74
- 24.93 deg, I = 43
- 25.11 deg, I = 57
- 25.35 deg, I = 39
- 35.62 deg, I = 52
- 35.76 deg, I = 86
- 35.89 deg, I = 100
- 36.09 deg, I = 66

Structure:
```
data_Li2Si2Ni3O8
_cell_length_a 5.001
_cell_length_b 8.696
_cell_length_c 13.223
_cell_angle_alpha 70.83
_cell_angle_beta 79.93
_cell_angle_gamma 89.75
_symmetry_space_group_name_H-M 'P 1'
_symmetry_Int_Tables_number 1
_symmetry_space_group_name_Hall 'P 1'
loop_
_atom_site_label
_atom_site_fract_x
_atom_site_fract_y
_atom_site_fract_z
Li1 0.000 0.000 0.000
Li2 0.039 0.353 0.921
Li3 0.133 0.468 0.698
Li4 0.701 0.394 0.590
Li5 0.843 0.535 0.324
Li6 0.957 0.646 0.085
Si1 0.115 0.745 0.830
Si2 0.272 0.304 0.484
Si3 0.418 0.787 0.166
Si4 0.574 0.226 0.829
Si5 0.807 0.765 0.512
Si6 0.890 0.267 0.171
Ni1 0.113 0.132 0.731
Ni2 0.273 0.923 0.575
Ni3 0.339 0.667 0.418
Ni4 0.351 0.416 0.233
Ni5 0.429 0.163 0.074
Ni6 0.567 0.851 0.918
Ni7 0.653 0.591 0.763
Ni8 0.824 0.145 0.424
Ni9 0.891 0.897 0.262
O1 0.038 0.281 0.591
O2 0.103 0.338 0.380
O3 0.189 0.773 0.940
O4 0.200 0.633 0.193
O5 0.211 0.915 0.726
O6 0.220 0.312 0.139
O7 0.226 0.947 0.149
O8 0.256 0.588 0.802
O9 0.320 0.181 0.935
O10 0.424 0.281 0.721
O11 0.447 0.141 0.496
O12 0.481 0.778 0.505
O13 0.504 0.455 0.458
O14 0.571 0.755 0.272
O15 0.669 0.821 0.062
O16 0.745 0.427 0.192
O17 0.767 0.067 0.842
O18 0.785 0.709 0.850
O19 0.792 0.373 0.819
O20 0.808 0.218 0.070
O21 0.820 0.107 0.284
O22 0.857 0.607 0.615
O23 0.923 0.934 0.521
O24 0.970 0.737 0.398
```


Entry 6:
# Pr4V5Si4O22
Computed powder diffraction line list, Cu Kα. Input: DFT lattice parameters and positions (PBE+U).
Lines closer than 0.1° are merged.

The 10 most intense peaks (2θ from 10° to 90°), low angle first:
- 16.12 deg, I = 46
- 18.20 deg, I = 52
- 19.25 deg, I = 64
- 27.77 deg, I = 100
- 28.13 deg, I = 76
- 28.67 deg, I = 55
- 31.33 deg, I = 62
- 32.57 deg, I = 67
- 32.70 deg, I = 70
- 45.82 deg, I = 67

Structure:
```
data_Pr4V5Si4O22
_cell_length_a 7.363
_cell_length_b 7.363
_cell_length_c 11.184
_cell_angle_alpha 99.63
_cell_angle_beta 99.63
_cell_angle_gamma 45.64
_symmetry_space_group_name_H-M 'P 1'
_symmetry_Int_Tables_number 1
_symmetry_space_group_name_Hall 'P 1'
loop_
_atom_site_label
_atom_site_fract_x
_atom_site_fract_y
_atom_site_fract_z
Pr1 0.073 0.073 0.249
Pr2 0.356 0.356 0.244
Pr3 0.644 0.644 0.756
Pr4 0.927 0.927 0.751
V1 0.000 0.000 0.500
V2 0.000 0.500 0.500
V3 0.500 0.000 0.500
V4 0.500 0.500 0.000
V5 0.500 0.500 0.500
Si1 0.139 0.139 0.958
Si2 0.297 0.297 0.771
Si3 0.703 0.703 0.229
Si4 0.861 0.861 0.042
O1 0.035 0.512 0.689
O2 0.143 0.143 0.476
O3 0.165 0.694 0.088
O4 0.187 0.187 0.100
O5 0.218 0.736 0.369
O6 0.221 0.221 0.868
O7 0.264 0.782 0.631
O8 0.306 0.835 0.912
O9 0.350 0.350 0.483
O10 0.412 0.412 0.837
O11 0.488 0.965 0.311
O12 0.512 0.035 0.689
O13 0.588 0.588 0.163
O14 0.650 0.650 0.517
O15 0.694 0.165 0.088
O16 0.736 0.218 0.369
O17 0.779 0.779 0.132
O18 0.782 0.264 0.631
O19 0.813 0.813 0.900
O20 0.835 0.306 0.912
O21 0.857 0.857 0.524
O22 0.965 0.488 0.311
```